1.
Diffraction record for CsSn6. The powder X-ray diffraction pattern is computed, not measured: it uses a GGA-PBE-relaxed structure and Cu Kα (weighted mean of Kα1 and Kα2).
Kinematic intensities with the Lorentz-polarization factor, no thermal factor.

Principal peaks in the range 10° ≤ 2θ ≤ 80°, by intensity:
- d 3.362, 2θ = 26.51°, I = 100
- d 2.201, 2θ = 41.00°, I = 63
- d 4.118, 2θ = 21.58°, I = 41
- d 2.059, 2θ = 43.98°, I = 35
- d 2.378, 2θ = 37.84°, I = 34
- d 1.456, 2θ = 63.94°, I = 23
- d 1.336, 2θ = 70.48°, I = 20
- d 1.504, 2θ = 61.69°, I = 19
- d 1.842, 2θ = 49.49°, I = 18
- d 5.824, 2θ = 15.21°, I = 16

Crystal structure
```
data_CsSn6
_cell_length_a 8.2360
_cell_length_b 8.2360
_cell_length_c 8.2360
_cell_angle_alpha 90.00
_cell_angle_beta 90.00
_cell_angle_gamma 90.00
_symmetry_space_group_name_H-M 'I m -3 m'
_symmetry_Int_Tables_number 229
_symmetry_space_group_name_Hall '-I 4 2 3'
loop_
_atom_site_label
_atom_site_fract_x
_atom_site_fract_y
_atom_site_fract_z
Cs1 0.0000 0.0000 0.0000
Sn1 0.0000 0.2500 0.5000
```



2.
Diffraction record for Mg4CuAg. The powder X-ray diffraction pattern is computed, not measured: it uses a GGA-PBE-relaxed structure and Cu Kα (weighted mean of Kα1 and Kα2).
Kinematic intensities with the Lorentz-polarization factor, no thermal factor.

Principal peaks in the range 10° ≤ 2θ ≤ 80°, by intensity:
- d 2.090, 2θ = 43.30°, I = 100
- d 4.676, 2θ = 18.98°, I = 95
- d 2.335, 2θ = 38.56°, I = 84
- d 3.306, 2θ = 26.97°, I = 29
- d 2.592, 2θ = 34.60°, I = 28
- d 1.652, 2θ = 55.64°, I = 18
- d 1.349, 2θ = 69.71°, I = 17
- d 1.409, 2θ = 66.35°, I = 13
- d 1.296, 2θ = 72.98°, I = 13
- d 1.765, 2θ = 51.78°, I = 13

Crystal structure
```
data_Mg4CuAg
_cell_length_a 6.6128
_cell_length_b 6.6128
_cell_length_c 5.3857
_cell_angle_alpha 90.00
_cell_angle_beta 90.00
_cell_angle_gamma 90.00
_symmetry_space_group_name_H-M 'I 4 2 2'
_symmetry_Int_Tables_number 97
_symmetry_space_group_name_Hall 'I 4 2'
loop_
_atom_site_label
_atom_site_fract_x
_atom_site_fract_y
_atom_site_fract_z
Mg1 0.1661 0.3339 0.2500
Cu1 0.0000 0.0000 0.0000
Ag1 0.0000 0.0000 0.5000
```



3.
Diffraction record for Ba2H5Au2. The powder X-ray diffraction pattern is computed, not measured: it uses a GGA-PBE-relaxed structure and Cu Kα (weighted mean of Kα1 and Kα2).
Kinematic intensities with the Lorentz-polarization factor, no thermal factor.

Principal peaks in the range 10° ≤ 2θ ≤ 80°, by intensity:
- d 3.399, 2θ = 26.22°, I = 100
- d 3.266, 2θ = 27.31°, I = 71
- d 2.653, 2θ = 33.79°, I = 63
- d 2.783, 2θ = 32.17°, I = 51
- d 3.317, 2θ = 26.88°, I = 50
- d 2.828, 2θ = 31.64°, I = 46
- d 1.736, 2θ = 52.73°, I = 42
- d 1.825, 2θ = 49.97°, I = 27
- d 2.228, 2θ = 40.50°, I = 27
- d 2.201, 2θ = 41.00°, I = 27

Crystal structure
```
data_Ba2H5Au2
_cell_length_a 13.1043
_cell_length_b 4.4023
_cell_length_c 5.6740
_cell_angle_alpha 90.00
_cell_angle_beta 94.57
_cell_angle_gamma 90.00
_symmetry_space_group_name_H-M 'C 1 2/m 1'
_symmetry_Int_Tables_number 12
loop_
_symmetry_equiv_pos_as_xyz
'x,y,z'
'-x,-y,-z'
'-x,y,-z'
'x,-y,z'
'x+1/2,y+1/2,z'
'-x+1/2,-y+1/2,-z'
'-x+1/2,y+1/2,-z'
'x+1/2,-y+1/2,z'
loop_
_atom_site_label
_atom_site_fract_x
_atom_site_fract_y
_atom_site_fract_z
Ba1 0.1275 0.0000 0.2450
H1 0.0000 0.5000 0.5000
H2 0.1632 0.5000 0.0001
H3 0.1920 0.5000 0.4720
Au1 0.1115 0.5000 0.7175
```